Theoretical powder XRD pattern of PrZn2Ag for Cu Kα (λ = 1.5418 Å), from a crystal structure in OQMD, relaxed with PBE.

Main lines, by intensity (2θ from 10° to 90°):
2θ/deg	I/Imax	(hkl)
35.2	100	1 1 3
33.2	97	2 1 1
40.1	52	0 2 0
41.6	26	2 1 3
37.1	25	1 0 4
41.8	24	3 0 2
38.9	23	3 0 1
69.7	22	1 3 3
29.2	22	1 1 2
59.4	17	3 2 2

Cell: 7.1330 4.4943 10.3187 Å, 90.00 90.00 90.00°
Atoms (fractional coordinates):
Pr (0.2145, 0.2500, 0.1680)
Pr (0.2855, 0.7500, 0.6680)
Pr (0.7145, 0.2500, 0.3320)
Pr (0.7855, 0.7500, 0.8320)
Zn (0.0899, 0.2500, 0.8548)
Zn (0.2009, 0.7500, 0.9603)
Zn (0.2991, 0.2500, 0.4603)
Zn (0.4101, 0.7500, 0.3548)
Zn (0.5899, 0.2500, 0.6452)
Zn (0.7009, 0.7500, 0.5397)
Zn (0.7991, 0.2500, 0.0397)
Zn (0.9101, 0.7500, 0.1452)
Ag (0.0322, 0.7500, 0.4013)
Ag (0.4678, 0.2500, 0.9013)
Ag (0.5322, 0.7500, 0.0987)
Ag (0.9678, 0.2500, 0.5987)